(1)
Diffraction record for In2GaHgPb2. The powder diffractogram is calculated, not measured: it uses a cell relaxed with PBE and CuKα.
Intensities are scaled so that the largest is 100.

```
In2GaHgPb2
1.0
5.1082 0.0000 0.0000
0.0000 9.5808 0.0000
0.0000 0.0000 6.7094
In Ga Hg Pb
4 2 2 4
direct
0.0000 0.1403 0.0000 In
0.0000 0.8597 0.5000 In
0.5000 0.3043 0.7150 In
0.5000 0.6957 0.2150 In
0.0000 0.1743 0.4991 Ga
0.0000 0.8257 0.9991 Ga
0.5000 0.0095 0.3269 Hg
0.5000 0.9905 0.8269 Hg
0.0000 0.4911 0.9530 Pb
0.0000 0.5089 0.4530 Pb
0.5000 0.3310 0.2229 Pb
0.5000 0.6690 0.7229 Pb
```

The 12 most intense peaks (2θ from 15° to 90°), by intensity:
2θ = 33.08°, I 100.0
2θ = 31.92°, I 85.7
2θ = 38.94°, I 47.1
2θ = 35.14°, I 46.4
2θ = 53.44°, I 36.7
2θ = 33.29°, I 28.9
2θ = 67.51°, I 22.2
2θ = 32.59°, I 20.7
2θ = 61.74°, I 16.8
2θ = 61.30°, I 14.0
2θ = 48.67°, I 13.7
2θ = 61.03°, I 13.5

***

(2)
Diffraction record for Sr2In3Ga4Hg. The powder diffractogram is calculated, not measured: it uses a cell relaxed with PBE and CuKα.
Intensities are scaled so that the largest is 100.

```
Sr2In3Ga4Hg
1.0
4.7314 0.0000 0.0000
0.0000 4.7314 0.0000
0.0000 0.0000 11.4798
Sr In Ga Hg
2 3 4 1
direct
0.0000 0.5000 0.2490 Sr
0.5000 0.0000 0.7510 Sr
0.0000 0.0000 0.0000 In
0.0000 0.5000 0.6328 In
0.5000 0.0000 0.3672 In
0.0000 0.0000 0.5000 Ga
0.0000 0.5000 0.8662 Ga
0.5000 0.0000 0.1338 Ga
0.5000 0.5000 0.5000 Ga
0.5000 0.5000 0.0000 Hg
```

The 12 most intense peaks (2θ from 15° to 90°), by intensity:
2θ = 30.94°, I 100.0
2θ = 38.04°, I 64.6
2θ = 41.45°, I 42.4
2θ = 30.03°, I 39.3
2θ = 64.34°, I 24.0
2θ = 54.88°, I 21.9
2θ = 43.83°, I 21.6
2θ = 49.21°, I 19.6
2θ = 59.40°, I 17.1
2θ = 15.44°, I 17.0
2θ = 71.05°, I 16.6
2θ = 27.77°, I 14.7

***

(3)
Diffraction record for Tl2In4GaHg2. The powder diffractogram is calculated, not measured: it uses a cell relaxed with PBE and CuKα.
Intensities are scaled so that the largest is 100.

```
Tl2In4GaHg2
1.0
6.6907 0.0000 0.0000
3.1298 6.0249 0.0000
2.5249 1.7878 6.1668
Tl In Ga Hg
2 4 1 2
direct
0.2434 0.2271 0.1753 Tl
0.7566 0.7729 0.8247 Tl
0.2066 0.3340 0.6662 In
0.2874 0.8160 0.6354 In
0.7126 0.1840 0.3646 In
0.7934 0.6660 0.3338 In
0.0000 0.0000 0.0000 Ga
0.3504 0.6662 0.2136 Hg
0.6496 0.3338 0.7864 Hg
```

The 12 most intense peaks (2θ from 15° to 90°), by intensity:
2θ = 30.91°, I 100.0
2θ = 34.83°, I 66.6
2θ = 35.94°, I 64.9
2θ = 28.96°, I 61.3
2θ = 31.36°, I 59.7
2θ = 37.61°, I 42.9
2θ = 33.93°, I 42.3
2θ = 30.25°, I 41.8
2θ = 31.07°, I 35.2
2θ = 29.62°, I 33.6
2θ = 54.35°, I 29.2
2θ = 32.15°, I 26.9

***

(4)
Diffraction record for KGa2Hg10. The powder diffractogram is calculated, not measured: it uses a cell relaxed with PBE and CuKα.
Intensities are scaled so that the largest is 100.

```
KGa2Hg10
1.0
0.0000 7.5617 7.7923
2.9931 0.0000 7.7923
2.9931 7.5617 0.0000
K Ga Hg
1 2 10
direct
0.0000 0.0000 0.0000 K
0.0000 0.5000 0.0000 Ga
0.5000 0.0000 0.5000 Ga
0.0000 0.0000 0.5000 Hg
0.0101 0.3548 0.6452 Hg
0.2839 0.4959 0.5041 Hg
0.3548 0.0101 0.9899 Hg
0.4959 0.2839 0.7161 Hg
0.5000 0.5000 0.0000 Hg
0.5041 0.7161 0.2839 Hg
0.6452 0.9899 0.0101 Hg
0.7161 0.5041 0.4959 Hg
0.9899 0.6452 0.3548 Hg
```

The 12 most intense peaks (2θ from 15° to 90°), by intensity:
2θ = 32.97°, I 100.0
2θ = 37.53°, I 53.9
2θ = 38.36°, I 44.0
2θ = 34.21°, I 43.9
2θ = 33.69°, I 39.9
2θ = 37.09°, I 38.1
2θ = 37.91°, I 36.2
2θ = 28.84°, I 33.2
2θ = 59.73°, I 24.3
2θ = 16.91°, I 22.9
2θ = 29.85°, I 22.1
2θ = 36.58°, I 20.9

***

(5)
Diffraction record for K2GaHg6Pb. The powder diffractogram is calculated, not measured: it uses a cell relaxed with PBE and CuKα.
Intensities are scaled so that the largest is 100.

```
K2GaHg6Pb
1.0
6.3459 0.0000 0.0000
2.9996 6.9507 0.0000
3.0866 0.6170 7.5448
K Ga Hg Pb
2 1 6 1
direct
0.2359 0.2387 0.2999 K
0.7641 0.7613 0.7001 K
0.0000 0.0000 0.0000 Ga
0.2256 0.6048 0.9034 Hg
0.2378 0.7734 0.2416 Hg
0.2726 0.2076 0.7518 Hg
0.7274 0.7924 0.2482 Hg
0.7622 0.2266 0.7584 Hg
0.7744 0.3952 0.0966 Hg
0.5000 0.5000 0.5000 Pb
```

The 12 most intense peaks (2θ from 15° to 90°), by intensity:
2θ = 16.61°, I 100.0
2θ = 33.67°, I 74.2
2θ = 33.23°, I 47.8
2θ = 39.08°, I 45.2
2θ = 18.08°, I 42.9
2θ = 33.47°, I 41.0
2θ = 36.85°, I 40.4
2θ = 38.95°, I 34.7
2θ = 32.49°, I 34.1
2θ = 33.82°, I 28.4
2θ = 37.21°, I 28.3
2θ = 16.72°, I 26.8

***

(6)
Diffraction record for La4GaHg2. The powder diffractogram is calculated, not measured: it uses a cell relaxed with PBE and CuKα.
Intensities are scaled so that the largest is 100.

```
La4GaHg2
1.0
7.7805 0.0000 0.0000
0.0000 10.7604 0.0000
0.0000 0.0000 5.3439
La Ga Hg
8 2 4
direct
0.2494 0.0000 0.0000 La
0.2500 0.2500 0.5000 La
0.2500 0.7500 0.5000 La
0.2506 0.5000 0.0000 La
0.7494 0.5000 0.0000 La
0.7500 0.2500 0.5000 La
0.7500 0.7500 0.5000 La
0.7506 0.0000 0.0000 La
0.0000 0.5000 0.5000 Ga
0.5000 0.0000 0.5000 Ga
0.0000 0.2545 0.0000 Hg
0.0000 0.7455 0.0000 Hg
0.5000 0.2455 0.0000 Hg
0.5000 0.7545 0.0000 Hg
```

The 12 most intense peaks (2θ from 15° to 90°), by intensity:
2θ = 32.99°, I 100.0
2θ = 33.31°, I 24.3
2θ = 33.54°, I 24.0
2θ = 59.32°, I 18.5
2θ = 59.62°, I 18.4
2θ = 47.99°, I 17.5
2θ = 28.34°, I 15.0
2θ = 16.48°, I 13.1
2θ = 16.59°, I 13.0
2θ = 69.20°, I 11.9
2θ = 79.80°, I 11.8
2θ = 58.56°, I 9.7

***

(7)
Diffraction record for La6GaHg. The powder diffractogram is calculated, not measured: it uses a cell relaxed with PBE and CuKα.
Intensities are scaled so that the largest is 100.

```
La6GaHg
1.0
7.8922 0.0000 0.0000
0.0000 8.4009 0.0000
-3.8916 0.0000 7.5896
La Ga Hg
12 2 2
direct
0.1400 0.2495 0.2743 La
0.1400 0.7505 0.2743 La
0.1904 0.5000 0.9521 La
0.3096 0.0000 0.0479 La
0.3600 0.2505 0.7257 La
0.3600 0.7495 0.7257 La
0.6400 0.2505 0.2743 La
0.6400 0.7495 0.2743 La
0.6904 0.0000 0.9521 La
0.8096 0.5000 0.0479 La
0.8600 0.2495 0.7257 La
0.8600 0.7505 0.7257 La
0.0000 0.5000 0.5000 Ga
0.5000 0.0000 0.5000 Ga
0.0000 0.0000 0.5000 Hg
0.5000 0.5000 0.5000 Hg
```

The 12 most intense peaks (2θ from 15° to 90°), by intensity:
2θ = 31.10°, I 100.0
2θ = 31.78°, I 86.5
2θ = 32.86°, I 43.6
2θ = 32.62°, I 33.2
2θ = 43.07°, I 21.6
2θ = 55.21°, I 19.9
2θ = 57.15°, I 17.8
2θ = 23.35°, I 16.0
2θ = 55.06°, I 15.0
2θ = 46.00°, I 14.6
2θ = 58.41°, I 12.7
2θ = 47.93°, I 10.7

***

(8)
Diffraction record for La2Ga2Hg. The powder diffractogram is calculated, not measured: it uses a cell relaxed with PBE and CuKα.
Intensities are scaled so that the largest is 100.

```
La2Ga2Hg
1.0
5.6271 -2.3627 0.0000
5.6271 2.3627 0.0000
-5.2932 0.0000 9.9064
La Ga Hg
4 4 2
direct
0.0144 0.0144 0.3286 La
0.1802 0.1802 0.0959 La
0.8198 0.8198 0.9041 La
0.9856 0.9856 0.6714 La
0.3676 0.3676 0.4405 Ga
0.4772 0.4772 0.1099 Ga
0.5228 0.5228 0.8901 Ga
0.6324 0.6324 0.5595 Ga
0.2738 0.2738 0.6548 Hg
0.7262 0.7262 0.3452 Hg
```

The 12 most intense peaks (2θ from 15° to 90°), by intensity:
2θ = 37.64°, I 100.0
2θ = 30.29°, I 82.2
2θ = 30.90°, I 78.1
2θ = 38.09°, I 71.5
2θ = 30.69°, I 60.9
2θ = 33.72°, I 51.2
2θ = 31.85°, I 47.1
2θ = 36.25°, I 40.2
2θ = 24.63°, I 30.7
2θ = 53.59°, I 26.3
2θ = 50.47°, I 25.9
2θ = 37.30°, I 25.1